(1)
Calculated PXRD pattern
Compound: Nd2HoS4
Radiation: a wavelength of 1.5418 Å
Structure: a cell relaxed with PBE
No peak broadening, texture or thermal motion is included.

Largest 10 diffraction maxima, low angle first, 2θ = 5–70°:
d/Å, Rel. int.
3.723, 1000
3.578, 261
3.361, 249
3.248, 211
2.858, 327
2.682, 472
2.176, 410
2.096, 169
2.003, 246
1.714, 216

Cell and atoms:
Unit cell a=6.9943 b=6.9943 c=13.4181 alpha=90.00 beta=90.00 gamma=147.95
Sites, in units of the cell vectors:
Nd 0.1293 0.8707 0.5722
Nd 0.1293 0.8707 0.9278
Nd 0.8707 0.1293 0.0722
Nd 0.8707 0.1293 0.4278
Ho 0.3723 0.6277 0.7500
Ho 0.6277 0.3723 0.2500
S 0.0171 0.9829 0.7500
S 0.2196 0.7804 0.1262
S 0.2196 0.7804 0.3738
S 0.5000 0.5000 0.0000
S 0.5000 0.5000 0.5000
S 0.7804 0.2196 0.6262
S 0.7804 0.2196 0.8738
S 0.9829 0.0171 0.2500

(2)
Calculated PXRD pattern
Compound: Nd3HoS4
Radiation: a wavelength of 1.5418 Å
Structure: a cell relaxed with PBE
No peak broadening, texture or thermal motion is included.

Largest 10 diffraction maxima, low angle first, 2θ = 5–70°:
d/Å, Rel. int.
3.311, 295
3.287, 289
3.273, 573
2.853, 505
2.843, 1000
2.020, 549
2.008, 361
1.998, 177
1.717, 240
1.637, 186

Cell and atoms:
Unit cell a=7.0181 b=7.9932 c=6.9683 alpha=90.00 beta=109.35 gamma=90.00
Sites, in units of the cell vectors:
Nd 0.0000 0.1229 0.2500
Nd 0.0000 0.3736 0.7500
Nd 0.0000 0.6264 0.2500
Nd 0.0000 0.8771 0.7500
Nd 0.5000 0.1238 0.7500
Nd 0.5000 0.8762 0.2500
Ho 0.5000 0.3736 0.2500
Ho 0.5000 0.6264 0.7500
S 0.2565 0.1318 0.0065
S 0.2565 0.8682 0.5065
S 0.2620 0.3811 0.4996
S 0.2620 0.6189 0.9996
S 0.7380 0.3811 0.0004
S 0.7380 0.6189 0.5004
S 0.7435 0.1318 0.4935
S 0.7435 0.8682 0.9935